Structure and simulated X-ray powder pattern of Ce2Zn3Ge6 (a crystal structure in the Materials Project, relaxed with GGA-PBE; λ = 1.5418 Å (Cu Kα)).

Structure:
Cell lengths 12.5333, 12.5333, 5.9945 Å; angles 90.00, 90.00, 152.31 degrees
Fractional positions:
Ce1 0.1057 0.8943 0.7500
Ce2 0.3934 0.6066 0.7500
Ce3 0.6066 0.3934 0.2500
Ce4 0.8943 0.1057 0.2500
Zn1 0.1605 0.8395 0.2500
Zn2 0.2690 0.2690 0.0000
Zn3 0.2690 0.2690 0.5000
Zn4 0.7310 0.7310 0.0000
Zn5 0.7310 0.7310 0.5000
Zn6 0.8395 0.1605 0.7500
Ge1 0.0574 0.9426 0.2500
Ge2 0.0838 0.4836 0.0339
Ge3 0.0838 0.4836 0.4661
Ge4 0.4278 0.5722 0.2500
Ge5 0.4836 0.0838 0.5339
Ge6 0.4836 0.0838 0.9661
Ge7 0.5164 0.9162 0.0339
Ge8 0.5164 0.9162 0.4661
Ge9 0.5722 0.4278 0.7500
Ge10 0.9162 0.5164 0.5339
Ge11 0.9162 0.5164 0.9661
Ge12 0.9426 0.0574 0.7500

Largest 12 diffraction maxima, low angle first, 10 to 90 degrees two-theta:
| two_theta | I/Imax |
| --- | --- |
| 30.7 | 14 |
| 33.3 | 100 |
| 36.9 | 14 |
| 37.3 | 36 |
| 42.7 | 48 |
| 46.3 | 17 |
| 48.2 | 8 |
| 55.2 | 13 |
| 57.7 | 13 |
| 61.9 | 14 |
| 64.7 | 15 |
| 72.1 | 16 |